Diffraction record for Be2NiSnSb. The powder diffractogram is simulated, not measured: it uses a PBE-relaxed structure and Cu Kα, 1.54184 Å.
Neutral-atom scattering factors, no anomalous dispersion.

Crystal structure
Unit cell a=4.3527 b=4.3527 c=6.2584 alpha=90.00 beta=90.00 gamma=90.00
Positions (direct):
Be: 0.0000 0.5000 0.0000
Be: 0.5000 0.0000 0.0000
Ni: 0.0000 0.0000 0.5000
Sn: 0.5000 0.5000 0.5000
Sb: 0.5000 0.5000 0.0000

Peak list (10 most intense, 5° ≤ 2θ ≤ 70°, most intense first)
- 2θ 29.01, I 100.0, hkl 1 1 0
- 2θ 20.40, I 84.3, hkl 1 0 0
- 2θ 41.14, I 78.5, hkl 1 1 2
- 2θ 28.52, I 62.0, hkl 0 0 2
- 2θ 51.12, I 48.2, hkl 2 0 2
- 2θ 41.49, I 44.6, hkl 2 0 0
- 2θ 35.33, I 42.9, hkl 1 0 2
- 2θ 55.60, I 24.1, hkl 2 1 2
- 2θ 67.87, I 20.5, hkl 2 2 2
- 2θ 46.66, I 20.0, hkl 2 1 0